The following is a calculated powder diffractogram of Na4GaBi2. It was derived from a cell relaxed with GGA-PBE, using CuKα.
Peak positions follow from Bragg's law for the DFT cell and can differ from measured ones.

Structural model:
```
data_Na4GaBi2
_chemical_formula_sum 'Na8 Ga2 Bi4'
_space_group_name_H-M_alt 'I 4/m m m'
_space_group_IT_number 139
_space_group_name_Hall '-I 4 2'
_cell_length_a 5.612
_cell_length_b 5.612
_cell_length_c 15.623
_cell_angle_alpha 90.00
_cell_angle_beta 90.00
_cell_angle_gamma 90.00
loop_
_atom_site_label
_atom_site_type_symbol
_atom_site_fract_x
_atom_site_fract_y
_atom_site_fract_z
Na1 Na 0.000 0.000 0.190
Na2 Na 0.000 0.500 0.000
Ga1 Ga 0.000 0.000 0.000
Bi1 Bi 0.000 0.000 0.397
```

Peak list (10 most intense, 15° ≤ 2θ ≤ 90°, in order of rising 2θ)
2θ 16.79, rel. 90, hkl 1 0 1; 2θ 22.41, rel. 100, hkl 1 1 0; 2θ 23.30, rel. 24, hkl 1 0 3; 2θ 31.90, rel. 61, hkl 2 0 0; 2θ 32.16, rel. 36, hkl 1 1 4; 2θ 32.81, rel. 93, hkl 1 0 5; 2θ 36.25, rel. 29, hkl 2 1 1; 2θ 46.41, rel. 74, hkl 2 1 5; 2θ 57.43, rel. 24, hkl 3 0 5; 2θ 67.21, rel. 27, hkl 3 2 5